# Zr2AgN3
Calculated powder diffraction line list, Cu Kα (weighted mean of Kα1 and Kα2). Input: DFT lattice parameters and positions (GGA-PBE).
Intensities are scaled so that the largest is 100.

Crystal structure
```
data_Zr2AgN3
_chemical_formula_sum 'Zr6 Ag3 N9'
_cell_length_a 3.3421
_cell_length_b 3.3421
_cell_length_c 26.7045
_cell_angle_alpha 90.00
_cell_angle_beta 90.00
_cell_angle_gamma 120.00
_space_group_name_H-M_alt 'P 1'
_space_group_IT_number 1
loop_
_space_group_symop_operation_xyz
'x,y,z'
loop_
_atom_site_label
_atom_site_fract_x
_atom_site_fract_y
_atom_site_fract_z
Zr1 0.0103 0.6764 0.4459
Zr2 0.3236 0.3339 0.7792
Zr3 0.3339 0.3236 0.2208
Zr4 0.6661 0.9897 0.1126
Zr5 0.6764 0.0103 0.5541
Zr6 0.9897 0.6661 0.8874
Ag1 0.0000 0.6726 0.6667
Ag2 0.3274 0.3274 0.0000
Ag3 0.6726 0.0000 0.3333
N1 0.0000 0.6566 0.1667
N2 0.0098 0.6770 0.5878
N3 0.3230 0.3328 0.9211
N4 0.3328 0.3230 0.0789
N5 0.3434 0.3434 0.5000
N6 0.6566 0.0000 0.8333
N7 0.6672 0.9902 0.2544
N8 0.6770 0.0098 0.4122
N9 0.9902 0.6672 0.7456
```

Top 10 peaks for 5 to 70 degrees two-theta, in order of rising 2θ:
- d 2.967, rel. 54
- d 2.878, rel. 48
- d 2.656, rel. 100
- d 2.545, rel. 70
- d 2.187, rel. 14
- d 1.963, rel. 20
- d 1.675, rel. 23
- d 1.671, rel. 40
- d 1.593, rel. 28
- d 1.456, rel. 36